Simulated XRD peak list
Compound: Li6Ni2C4SO16
Radiation: Cu Kα
Structure: a GGA+U-relaxed structure
Neutral-atom scattering factors, no anomalous dispersion.

Largest 10 diffraction maxima, low angle first, 2θ = 10–80°:
h k l	d_spacing	2θ/deg	I (rel.)
1 1 1	7.622	11.6	39
3 1 1	3.981	22.3	100
4 0 0	3.301	27.0	35
5 1 1	2.541	35.3	38
4 4 0	2.334	38.6	33
5 1 3	2.232	40.4	37
6 2 2	1.990	45.6	21
5 5 3	1.719	53.3	16
5 5 5	1.524	60.8	23
6 6 2	1.514	61.2	15

Cell: 13.2024 13.2024 13.2024 Å, 90.00 90.00 90.00°
Space group Fd-3 (No. 203, origin choice 2)
One atom of each set of equivalent atoms:
Li  0.0921  0.3750  0.3750 (multiplicity 48)
Ni  0.0000  0.0000  0.5000 (multiplicity 16)
C  0.0269  0.0269  0.7231 (multiplicity 32)
S  0.1250  0.1250  0.1250 (multiplicity 8)
O  0.0215  0.0983  0.7904 (multiplicity 96)
O  0.0596  0.0596  0.0596 (multiplicity 32)